Structure and calculated XRD peak list of Ti2GeC (a cell relaxed with GGA-PBE; Cu Kα, 1.54184 Å).
No peak broadening, texture or thermal motion is included.

Peak list (10 most intense, 10° ≤ 2θ ≤ 90°, by angle)
Position (°2θ), Rel. int.
33.53, 21
36.32, 4
39.57, 100
41.52, 17
54.38, 15
59.94, 20
74.24, 14
74.44, 13
75.55, 16
85.23, 4

Crystal structure
Lattice parameters (Å, degrees): 3.0864 3.0864 13.0499 90.00 90.00 120.00
Element x y z (fractional)
Ti1 0.3333 0.6667 0.0889
Ti2 0.3333 0.6667 0.4111
Ti3 0.6667 0.3333 0.5889
Ti4 0.6667 0.3333 0.9111
Ge1 0.3333 0.6667 0.7500
Ge2 0.6667 0.3333 0.2500
C1 0.0000 0.0000 0.0000
C2 0.0000 0.0000 0.5000

---

Structure and calculated XRD peak list of V3GeC (a cell relaxed with GGA-PBE; Cu Kα, 1.54184 Å).
No peak broadening, texture or thermal motion is included.

Peak list (10 most intense, 10° ≤ 2θ ≤ 90°, by angle)
Position (°2θ), Rel. int.
38.28, 66
38.65, 43
39.91, 57
41.59, 100
42.69, 85
46.02, 32
46.41, 66
60.49, 25
73.17, 31
76.84, 27

Crystal structure
Lattice parameters (Å, degrees): 5.2489 5.2489 7.8882 90.00 90.00 146.09
Element x y z (fractional)
V1 0.0393 0.9607 0.7500
V2 0.3715 0.6285 0.5482
V3 0.3715 0.6285 0.9518
V4 0.6285 0.3715 0.0482
V5 0.6285 0.3715 0.4518
V6 0.9607 0.0393 0.2500
Ge1 0.2556 0.7444 0.2500
Ge2 0.7444 0.2556 0.7500
C1 0.0000 0.0000 0.0000
C2 0.0000 0.0000 0.5000